Entry 1:
Diffraction record for Hf27Si6P10. The powder diffractogram is simulated, not measured: it uses a cell relaxed with GGA-PBE and CuKα.
Kinematic intensities with the Lorentz-polarization factor, no thermal factor.

Atomic structure:
abc: 15.0039 15.0039 15.0039
angles: 166.24 102.66 79.02
Atoms (fractional coordinates):
Hf 0.0000 0.0000 0.0000
Hf 0.0191 0.4216 0.5975
Hf 0.0520 0.1828 0.8693
Hf 0.0997 0.7836 0.3161
Hf 0.1759 0.5784 0.5975
Hf 0.1773 0.9296 0.2477
Hf 0.2173 0.7173 0.5000
Hf 0.2616 0.3917 0.8698
Hf 0.3135 0.1828 0.1307
Hf 0.3181 0.0704 0.2477
Hf 0.3540 0.8540 0.5000
Hf 0.4168 0.0000 0.4168
Hf 0.4675 0.7836 0.6839
Hf 0.4781 0.6083 0.8698
Hf 0.5219 0.3917 0.1302
Hf 0.5325 0.2164 0.3161
Hf 0.5832 0.0000 0.5832
Hf 0.6460 0.1460 0.5000
Hf 0.6819 0.9296 0.7523
Hf 0.6865 0.8172 0.8693
Hf 0.7384 0.6083 0.1302
Hf 0.7827 0.2827 0.5000
Hf 0.8227 0.0704 0.7523
Hf 0.8241 0.4216 0.4025
Hf 0.9003 0.2164 0.6839
Hf 0.9480 0.8172 0.1307
Hf 0.9809 0.5784 0.4025
Si 0.0735 0.3424 0.7311
Si 0.1237 0.1237 0.0000
Si 0.3888 0.6576 0.7311
Si 0.6112 0.3424 0.2689
Si 0.8763 0.8763 0.0000
Si 0.9265 0.6576 0.2689
P 0.1400 0.0000 0.1400
P 0.2108 0.2861 0.9247
P 0.3110 0.5000 0.8110
P 0.3614 0.2861 0.0753
P 0.4400 0.4400 0.0000
P 0.5600 0.5600 0.0000
P 0.6386 0.7139 0.9247
P 0.6890 0.5000 0.1890
P 0.7892 0.7139 0.0753
P 0.8600 0.0000 0.8600

Most intense lines, 10 to 90 degrees two-theta, by angle:
- 29.6°, I = 409
- 31.6°, I = 830
- 35.5°, I = 777
- 37.0°, I = 1000
- 37.8°, I = 356
- 38.2°, I = 946
- 38.9°, I = 452
- 50.8°, I = 379

---

Entry 2:
Diffraction record for Tc5Sb3. The powder diffractogram is simulated, not measured: it uses a cell relaxed with GGA-PBE and CuKα.
Kinematic intensities with the Lorentz-polarization factor, no thermal factor.

Atomic structure:
abc: 7.4539 7.4539 7.6067
angles: 94.51 94.51 136.28
Atoms (fractional coordinates):
Tc 0.0983 0.8059 0.8284
Tc 0.1941 0.9017 0.1716
Tc 0.2206 0.2206 0.9691
Tc 0.2871 0.5136 0.6779
Tc 0.4864 0.7129 0.3221
Tc 0.5136 0.2871 0.6779
Tc 0.7129 0.4864 0.3221
Tc 0.7794 0.7794 0.0309
Tc 0.8059 0.0983 0.8284
Tc 0.9017 0.1941 0.1716
Sb 0.2187 0.2187 0.3806
Sb 0.2192 0.7808 0.5000
Sb 0.3225 0.6775 0.0000
Sb 0.6775 0.3225 0.0000
Sb 0.7808 0.2192 0.5000
Sb 0.7813 0.7813 0.6194

Most intense lines, 10 to 90 degrees two-theta, by angle:
- 32.6°, I = 308
- 35.5°, I = 1000
- 37.6°, I = 447
- 39.0°, I = 468
- 39.6°, I = 404
- 41.6°, I = 512
- 42.0°, I = 475
- 47.7°, I = 267

---

Entry 3:
Diffraction record for Pr2Zn2Pd5. The powder diffractogram is simulated, not measured: it uses a cell relaxed with GGA-PBE and CuKα.
Kinematic intensities with the Lorentz-polarization factor, no thermal factor.

Atomic structure:
abc: 4.2484 4.2484 9.4836
angles: 90.00 90.00 90.00
Atoms (fractional coordinates):
Pr 0.0000 0.0000 0.0000
Pr 0.0000 0.0000 0.5000
Zn 0.5000 0.5000 0.1311
Zn 0.5000 0.5000 0.8689
Pd 0.0000 0.5000 0.2750
Pd 0.0000 0.5000 0.7250
Pd 0.5000 0.0000 0.2750
Pd 0.5000 0.0000 0.7250
Pd 0.5000 0.5000 0.5000

Most intense lines, 10 to 90 degrees two-theta, by angle:
- 35.4°, I = 1000
- 38.0°, I = 109
- 41.5°, I = 164
- 42.6°, I = 411
- 58.3°, I = 127
- 61.8°, I = 133
- 66.9°, I = 103
- 73.2°, I = 224

---

Entry 4:
Diffraction record for CsSe3. The powder diffractogram is simulated, not measured: it uses a cell relaxed with GGA-PBE and CuKα.
Kinematic intensities with the Lorentz-polarization factor, no thermal factor.

Atomic structure:
abc: 7.4863 13.2394 6.8343
angles: 90.00 90.00 90.00
Atoms (fractional coordinates):
Cs 0.0000 0.1134 0.2500
Cs 0.0000 0.8866 0.7500
Cs 0.5000 0.3866 0.7500
Cs 0.5000 0.6134 0.2500
Se 0.0000 0.2383 0.7500
Se 0.0000 0.7617 0.2500
Se 0.2440 0.3595 0.2500
Se 0.2440 0.6405 0.7500
Se 0.2560 0.1405 0.7500
Se 0.2560 0.8595 0.2500
Se 0.5000 0.2617 0.2500
Se 0.5000 0.7383 0.7500
Se 0.7440 0.1405 0.7500
Se 0.7440 0.8595 0.2500
Se 0.7560 0.3595 0.2500
Se 0.7560 0.6405 0.7500

Most intense lines, 10 to 90 degrees two-theta, by angle:
- 13.4°, I = 203
- 13.6°, I = 461
- 26.1°, I = 683
- 26.8°, I = 673
- 26.9°, I = 176
- 30.4°, I = 1000
- 48.8°, I = 261
- 49.8°, I = 302

---

Entry 5:
Diffraction record for Rb2ErCd2Te4. The powder diffractogram is simulated, not measured: it uses a cell relaxed with GGA-PBE and CuKα.
Kinematic intensities with the Lorentz-polarization factor, no thermal factor.

Atomic structure:
abc: 9.0993 9.0993 9.0245
angles: 112.63 112.63 28.51
Atoms (fractional coordinates):
Rb 0.1275 0.1275 0.0701
Rb 0.8725 0.8725 0.9299
Er 0.0000 0.0000 0.5000
Cd 0.3114 0.3114 0.4926
Cd 0.6886 0.6886 0.5074
Te 0.1866 0.1866 0.7169
Te 0.4802 0.4802 0.7233
Te 0.5198 0.5198 0.2767
Te 0.8134 0.8134 0.2831

Most intense lines, 10 to 90 degrees two-theta, by angle:
- 10.7°, I = 834
- 28.1°, I = 441
- 28.2°, I = 378
- 29.2°, I = 1000
- 30.5°, I = 414
- 36.2°, I = 298
- 38.0°, I = 297
- 40.3°, I = 461

---

Entry 6:
Diffraction record for PrGa4Ir2. The powder diffractogram is simulated, not measured: it uses a cell relaxed with GGA-PBE and CuKα.
Kinematic intensities with the Lorentz-polarization factor, no thermal factor.

Atomic structure:
abc: 17.3924 4.3740 6.6354
angles: 90.00 90.00 90.00
Atoms (fractional coordinates):
Pr 0.1399 0.2500 0.9995
Pr 0.3601 0.7500 0.4995
Pr 0.6399 0.2500 0.5005
Pr 0.8601 0.7500 0.0005
Ga 0.0342 0.7500 0.1580
Ga 0.0682 0.2500 0.5106
Ga 0.1870 0.7500 0.6972
Ga 0.1896 0.7500 0.2922
Ga 0.3104 0.2500 0.7922
Ga 0.3130 0.2500 0.1972
Ga 0.4318 0.7500 0.0106
Ga 0.4658 0.2500 0.6580
Ga 0.5342 0.7500 0.3420
Ga 0.5682 0.2500 0.9894
Ga 0.6870 0.7500 0.8028
Ga 0.6896 0.7500 0.2078
Ga 0.8104 0.2500 0.7078
Ga 0.8130 0.2500 0.3028
Ga 0.9318 0.7500 0.4894
Ga 0.9658 0.2500 0.8420
Ir 0.0371 0.7500 0.7553
Ir 0.2135 0.2500 0.4946
Ir 0.2865 0.7500 0.9946
Ir 0.4629 0.2500 0.2553
Ir 0.5371 0.7500 0.7447
Ir 0.7135 0.2500 0.0054
Ir 0.7865 0.7500 0.5054
Ir 0.9629 0.2500 0.2447

Most intense lines, 10 to 90 degrees two-theta, by angle:
- 28.8°, I = 344
- 29.0°, I = 295
- 35.5°, I = 1000
- 35.6°, I = 513
- 38.7°, I = 332
- 41.3°, I = 549
- 46.5°, I = 396
- 71.6°, I = 273